Simulated PXRD pattern of Li4V3O8 for Cu Kα, 1.54184 Å, from the PBE+U geometry in Alexandria.

Main lines, in order of falling intensity (5° ≤ 2θ ≤ 70°):
(hkl)	two_theta	I/Imax
1 0 0	17.26	100.0
0 0 4	42.69	58.0
1 2 -2	35.90	28.6
1 0 -2	18.42	20.5
2 2 -6	63.56	16.9
4 0 -4	60.33	16.4
3 2 -2	55.28	12.2
0 0 2	20.97	10.9
0 1 3	35.28	10.1
3 2 -6	66.39	7.1

Structural model:
```
Li4V3O8
1.0
6.1475 0.0000 0.0000
0.0000 5.8507 0.0000
-5.5692 0.0000 8.4834
Li V O
8 6 16
direct
0.0000 0.2421 0.0000 Li
0.0000 0.7579 0.5000 Li
0.4265 0.2450 0.1439 Li
0.4265 0.7550 0.6439 Li
0.8521 0.2429 0.2854 Li
0.8521 0.7571 0.7854 Li
0.9308 0.2438 0.6426 Li
0.9308 0.7562 0.1426 Li
0.4203 0.0066 0.3888 V
0.4203 0.9934 0.8888 V
0.4261 0.2463 0.6409 V
0.4261 0.7537 0.1409 V
0.4349 0.4933 0.8981 V
0.4349 0.5067 0.3981 V
0.2151 0.0113 0.6584 O
0.2151 0.9887 0.1584 O
0.2175 0.2588 0.4060 O
0.2175 0.7412 0.9060 O
0.2225 0.2338 0.9004 O
0.2225 0.7662 0.4004 O
0.2323 0.4854 0.6670 O
0.2323 0.5146 0.1670 O
0.6322 0.2432 0.8776 O
0.6322 0.7568 0.3776 O
0.6347 0.2418 0.3879 O
0.6354 0.4988 0.1174 O
0.6354 0.5012 0.6174 O
0.6347 0.7582 0.8879 O
0.6365 0.0254 0.6320 O
0.6365 0.9746 0.1320 O
```